La3Sn6Pd4: calculated powder diffraction line list (λ = 1.5418 Å (Cu Kα)), based on a crystal structure in OQMD, relaxed with GGA-PBE.
Intensities are scaled so that the largest is 100.

Structure:
Unit cell a=17.036 b=4.661 c=15.782 alpha=90.00 beta=90.00 gamma=90.00
Positions (direct):
La 0.116 0.250 0.249
La 0.142 0.750 0.618
La 0.149 0.250 0.983
La 0.351 0.750 0.483
La 0.358 0.250 0.118
La 0.384 0.750 0.749
La 0.616 0.250 0.251
La 0.642 0.750 0.882
La 0.649 0.250 0.517
La 0.851 0.750 0.017
La 0.858 0.250 0.382
La 0.884 0.750 0.751
Sn 0.026 0.750 0.918
Sn 0.052 0.250 0.462
Sn 0.057 0.250 0.770
Sn 0.171 0.750 0.394
Sn 0.189 0.750 0.837
Sn 0.206 0.750 0.120
Sn 0.294 0.250 0.620
Sn 0.311 0.250 0.337
Sn 0.329 0.250 0.894
Sn 0.443 0.750 0.270
Sn 0.448 0.750 0.962
Sn 0.474 0.250 0.418
Sn 0.526 0.750 0.582
Sn 0.552 0.250 0.038
Sn 0.557 0.250 0.730
Sn 0.671 0.750 0.106
Sn 0.689 0.750 0.663
Sn 0.706 0.750 0.380
Sn 0.794 0.250 0.880
Sn 0.811 0.250 0.163
Sn 0.829 0.250 0.606
Sn 0.943 0.750 0.230
Sn 0.948 0.750 0.538
Sn 0.974 0.250 0.082
Pd 0.011 0.750 0.379
Pd 0.048 0.750 0.100
Pd 0.209 0.250 0.475
Pd 0.218 0.250 0.766
Pd 0.282 0.750 0.266
Pd 0.291 0.750 0.975
Pd 0.452 0.250 0.600
Pd 0.489 0.250 0.879
Pd 0.511 0.750 0.121
Pd 0.548 0.750 0.400
Pd 0.709 0.250 0.025
Pd 0.718 0.250 0.734
Pd 0.782 0.750 0.234
Pd 0.791 0.750 0.525
Pd 0.952 0.250 0.900
Pd 0.989 0.250 0.621

The 10 most intense peaks (2θ = 10–90°), by intensity:
| 2θ (°) | I/Imax |
| --- | --- |
| 31.5 | 100 |
| 38.6 | 50 |
| 33.1 | 37 |
| 35.9 | 26 |
| 29.0 | 18 |
| 53.8 | 14 |
| 40.9 | 14 |
| 34.5 | 13 |
| 65.5 | 13 |
| 49.8 | 11 |


La6Zn4Pd13: calculated powder diffraction line list (λ = 1.5418 Å (Cu Kα)), based on a crystal structure in OQMD, relaxed with GGA-PBE.
Intensities are scaled so that the largest is 100.

Structure:
Unit cell a=8.465 b=8.465 c=8.465 alpha=109.47 beta=109.47 gamma=109.47
Positions (direct):
La 0.000 0.304 0.304
La 0.000 0.696 0.696
La 0.304 0.000 0.304
La 0.304 0.304 0.000
La 0.696 0.000 0.696
La 0.696 0.696 0.000
Zn 0.000 0.000 0.500
Zn 0.000 0.500 0.000
Zn 0.500 0.000 0.000
Zn 0.500 0.500 0.500
Pd 0.000 0.000 0.000
Pd 0.000 0.330 0.670
Pd 0.000 0.670 0.330
Pd 0.330 0.000 0.670
Pd 0.330 0.330 0.660
Pd 0.330 0.660 0.330
Pd 0.330 0.670 0.000
Pd 0.340 0.670 0.670
Pd 0.660 0.330 0.330
Pd 0.670 0.000 0.330
Pd 0.670 0.330 0.000
Pd 0.670 0.340 0.670
Pd 0.670 0.670 0.340

The 10 most intense peaks (2θ = 10–90°), by intensity:
| 2θ (°) | I/Imax |
| --- | --- |
| 39.1 | 100 |
| 70.8 | 29 |
| 28.9 | 28 |
| 36.8 | 14 |
| 56.5 | 11 |
| 84.0 | 11 |
| 34.3 | 10 |
| 54.8 | 9 |
| 58.2 | 7 |
| 63.1 | 7 |


La4Pr3: calculated powder diffraction line list (λ = 1.5418 Å (Cu Kα)), based on a crystal structure in OQMD, relaxed with GGA-PBE.
Intensities are scaled so that the largest is 100.

Structure:
Unit cell a=8.763 b=8.763 c=8.763 alpha=109.47 beta=109.47 gamma=109.47
Positions (direct):
La 0.000 0.347 0.500
La 0.000 0.847 0.500
La 0.153 0.153 0.153
La 0.347 0.500 0.000
La 0.500 0.000 0.347
La 0.500 0.000 0.847
La 0.653 0.653 0.653
La 0.847 0.500 0.000
Pr 0.125 0.750 0.875
Pr 0.250 0.625 0.375
Pr 0.375 0.250 0.625
Pr 0.625 0.375 0.250
Pr 0.750 0.875 0.125
Pr 0.875 0.125 0.750

The 10 most intense peaks (2θ = 10–90°), by intensity:
| 2θ (°) | I/Imax |
| --- | --- |
| 27.9 | 100 |
| 33.1 | 74 |
| 56.0 | 29 |
| 45.7 | 18 |
| 43.8 | 17 |
| 59.2 | 16 |
| 68.1 | 16 |
| 89.9 | 15 |
| 39.8 | 15 |
| 57.6 | 12 |


LaPrS4: calculated powder diffraction line list (λ = 1.5418 Å (Cu Kα)), based on a crystal structure in OQMD, relaxed with GGA-PBE.
Intensities are scaled so that the largest is 100.

Structure:
Unit cell a=4.018 b=4.018 c=8.279 alpha=90.00 beta=90.00 gamma=90.00
Positions (direct):
La 0.000 0.000 0.000
Pr 0.500 0.500 0.450
S 0.000 0.000 0.359
S 0.000 0.500 0.723
S 0.500 0.000 0.723
S 0.500 0.500 0.091

The 10 most intense peaks (2θ = 10–90°), by intensity:
| 2θ (°) | I/Imax |
| --- | --- |
| 24.6 | 100 |
| 38.4 | 71 |
| 39.6 | 47 |
| 31.5 | 42 |
| 45.1 | 32 |
| 21.5 | 28 |
| 52.1 | 27 |
| 61.6 | 25 |
| 33.3 | 22 |
| 78.8 | 17 |


La3PrSe3S4: calculated powder diffraction line list (λ = 1.5418 Å (Cu Kα)), based on a crystal structure in OQMD, relaxed with GGA-PBE.
Intensities are scaled so that the largest is 100.

Structure:
Unit cell a=10.211 b=7.241 c=7.241 alpha=35.41 beta=90.00 gamma=90.00
Positions (direct):
La 0.000 0.000 0.000
La 0.237 0.721 0.721
La 0.763 0.721 0.721
Pr 0.500 0.018 0.018
Se 0.000 0.339 0.339
Se 0.380 0.371 0.371
Se 0.620 0.371 0.371
S 0.000 0.622 0.622
S 0.246 0.093 0.093
S 0.500 0.650 0.650
S 0.754 0.093 0.093

The 10 most intense peaks (2θ = 10–90°), by intensity:
| 2θ (°) | I/Imax |
| --- | --- |
| 28.1 | 100 |
| 21.7 | 70 |
| 27.5 | 35 |
| 42.5 | 34 |
| 33.2 | 32 |
| 41.0 | 25 |
| 41.4 | 21 |
| 46.8 | 18 |
| 45.6 | 18 |
| 35.2 | 16 |


LaPrSc2Si2: calculated powder diffraction line list (λ = 1.5418 Å (Cu Kα)), based on a crystal structure in OQMD, relaxed with GGA-PBE.
Intensities are scaled so that the largest is 100.

Structure:
Unit cell a=8.589 b=8.589 c=8.589 alpha=150.82 beta=150.82 gamma=41.74
Positions (direct):
La 0.000 0.000 0.000
Pr 0.647 0.647 0.000
Sc 0.322 0.822 0.500
Sc 0.822 0.322 0.500
Si 0.203 0.203 0.000
Si 0.442 0.442 0.000

The 10 most intense peaks (2θ = 10–90°), by intensity:
| 2θ (°) | I/Imax |
| --- | --- |
| 26.5 | 100 |
| 31.3 | 75 |
| 34.8 | 56 |
| 41.7 | 47 |
| 29.2 | 42 |
| 36.9 | 37 |
| 50.1 | 35 |
| 55.4 | 29 |
| 33.5 | 28 |
| 54.6 | 27 |


LaPrTe4Se2: calculated powder diffraction line list (λ = 1.5418 Å (Cu Kα)), based on a crystal structure in OQMD, relaxed with GGA-PBE.
Intensities are scaled so that the largest is 100.

Structure:
Unit cell a=4.321 b=13.270 c=13.270 alpha=18.74 beta=90.00 gamma=90.00
Positions (direct):
La 0.000 0.000 0.000
Pr 0.500 0.643 0.643
Te 0.000 0.397 0.397
Te 0.000 0.746 0.746
Te 0.500 0.246 0.246
Te 0.500 0.897 0.897
Se 0.000 0.116 0.116
Se 0.500 0.526 0.526

The 10 most intense peaks (2θ = 10–90°), by intensity:
| 2θ (°) | I/Imax |
| --- | --- |
| 31.0 | 100 |
| 27.2 | 45 |
| 41.8 | 44 |
| 34.0 | 44 |
| 50.6 | 32 |
| 38.0 | 25 |
| 69.6 | 19 |
| 48.5 | 18 |
| 60.6 | 15 |
| 67.7 | 13 |


LaPrZn6Sn3: calculated powder diffraction line list (λ = 1.5418 Å (Cu Kα)), based on a crystal structure in OQMD, relaxed with GGA-PBE.
Intensities are scaled so that the largest is 100.

Structure:
Unit cell a=8.031 b=8.031 c=4.314 alpha=90.00 beta=90.00 gamma=120.00
Positions (direct):
La 0.000 0.000 0.000
Pr 0.667 0.333 0.000
Zn 0.058 0.669 0.500
Zn 0.149 0.488 0.000
Zn 0.331 0.390 0.500
Zn 0.339 0.851 0.000
Zn 0.512 0.661 0.000
Zn 0.610 0.942 0.500
Sn 0.335 0.055 0.500
Sn 0.719 0.665 0.500
Sn 0.945 0.281 0.500

The 10 most intense peaks (2θ = 10–90°), by intensity:
| 2θ (°) | I/Imax |
| --- | --- |
| 30.4 | 100 |
| 40.2 | 57 |
| 38.8 | 31 |
| 41.9 | 27 |
| 34.1 | 23 |
| 47.1 | 20 |
| 58.4 | 19 |
| 33.1 | 17 |
| 50.1 | 16 |
| 65.2 | 16 |


LaPrTe4: calculated powder diffraction line list (λ = 1.5418 Å (Cu Kα)), based on a crystal structure in OQMD, relaxed with GGA-PBE.
Intensities are scaled so that the largest is 100.

Structure:
Unit cell a=4.542 b=4.542 c=9.223 alpha=90.00 beta=90.00 gamma=90.00
Positions (direct):
La 0.000 0.000 0.000
Pr 0.500 0.500 0.450
Te 0.000 0.000 0.358
Te 0.000 0.500 0.725
Te 0.500 0.000 0.725
Te 0.500 0.500 0.092

The 10 most intense peaks (2θ = 10–90°), by intensity:
| 2θ (°) | I/Imax |
| --- | --- |
| 29.4 | 100 |
| 34.0 | 94 |
| 39.7 | 64 |
| 35.3 | 46 |
| 29.0 | 41 |
| 49.9 | 36 |
| 54.1 | 27 |
| 68.4 | 24 |
| 57.4 | 22 |
| 27.8 | 22 |


LaPt: calculated powder diffraction line list (λ = 1.5418 Å (Cu Kα)), based on a crystal structure in OQMD, relaxed with GGA-PBE.
Intensities are scaled so that the largest is 100.

Structure:
Unit cell a=5.890 b=5.890 c=4.581 alpha=90.00 beta=90.00 gamma=140.61
Positions (direct):
La 0.136 0.864 0.750
La 0.864 0.136 0.250
Pt 0.408 0.592 0.750
Pt 0.592 0.408 0.250

The 10 most intense peaks (2θ = 10–90°), by intensity:
| 2θ (°) | I/Imax |
| --- | --- |
| 30.9 | 100 |
| 38.6 | 89 |
| 32.3 | 35 |
| 39.3 | 33 |
| 45.7 | 21 |
| 37.9 | 21 |
| 51.8 | 19 |
| 61.8 | 17 |
| 70.9 | 15 |
| 71.5 | 14 |


La7Pt3: calculated powder diffraction line list (λ = 1.5418 Å (Cu Kα)), based on a crystal structure in OQMD, relaxed with GGA-PBE.
Intensities are scaled so that the largest is 100.

Structure:
Unit cell a=10.353 b=10.353 c=6.537 alpha=90.00 beta=90.00 gamma=120.00
Positions (direct):
La 0.074 0.537 0.000
La 0.126 0.253 0.698
La 0.126 0.874 0.698
La 0.253 0.126 0.198
La 0.333 0.667 0.482
La 0.463 0.537 0.000
La 0.463 0.926 0.000
La 0.537 0.074 0.500
La 0.537 0.463 0.500
La 0.667 0.333 0.982
La 0.747 0.874 0.698
La 0.874 0.126 0.198
La 0.874 0.747 0.198
La 0.926 0.463 0.500
Pt 0.188 0.377 0.247
Pt 0.188 0.812 0.247
Pt 0.377 0.188 0.747
Pt 0.623 0.812 0.247
Pt 0.812 0.188 0.747
Pt 0.812 0.623 0.747

The 10 most intense peaks (2θ = 10–90°), by intensity:
| 2θ (°) | I/Imax |
| --- | --- |
| 29.7 | 100 |
| 33.0 | 95 |
| 33.9 | 92 |
| 34.7 | 89 |
| 46.3 | 52 |
| 29.1 | 51 |
| 51.9 | 38 |
| 16.8 | 38 |
| 38.3 | 34 |
| 29.9 | 33 |


La3Pt4: calculated powder diffraction line list (λ = 1.5418 Å (Cu Kα)), based on a crystal structure in OQMD, relaxed with GGA-PBE.
Intensities are scaled so that the largest is 100.

Structure:
Unit cell a=8.239 b=8.239 c=8.239 alpha=114.56 beta=114.56 gamma=114.56
Positions (direct):
La 0.032 0.282 0.408
La 0.282 0.408 0.032
La 0.408 0.032 0.282
La 0.592 0.968 0.718
La 0.718 0.592 0.968
La 0.968 0.718 0.592
Pt 0.000 0.000 0.000
Pt 0.058 0.554 0.222
Pt 0.222 0.058 0.554
Pt 0.446 0.778 0.942
Pt 0.500 0.500 0.500
Pt 0.554 0.222 0.058
Pt 0.778 0.942 0.446
Pt 0.942 0.446 0.778

The 10 most intense peaks (2θ = 10–90°), by intensity:
| 2θ (°) | I/Imax |
| --- | --- |
| 34.2 | 100 |
| 36.5 | 74 |
| 30.9 | 27 |
| 41.0 | 24 |
| 36.0 | 22 |
| 64.0 | 16 |
| 50.9 | 15 |
| 34.0 | 15 |
| 48.7 | 13 |
| 62.5 | 12 |